Structure and theoretical X-ray powder pattern of Cs4AuClF2 (DFT lattice parameters and positions (GGA-PBE); Cu Kα, 1.54184 Å).

```
data_Cs4AuClF2
_chemical_formula_sum 'Cs4 Au1 Cl1 F2'
_space_group_name_H-M_alt 'P 1'
_space_group_IT_number 1
_space_group_name_Hall 'P 1'
_cell_length_a 7.4636
_cell_length_b 7.4635
_cell_length_c 8.2254
_cell_angle_alpha 56.56
_cell_angle_beta 56.56
_cell_angle_gamma 66.88
loop_
_atom_site_label
_atom_site_fract_x
_atom_site_fract_y
_atom_site_fract_z
Cs1 0.2437 0.7410 0.7563
Cs2 0.2485 0.7515 0.2485
Cs3 0.7410 0.2437 0.2590
Cs4 0.7515 0.2485 0.7515
Au1 0.7459 0.7459 0.2541
Cl1 0.2458 0.2458 0.7542
F1 0.4973 0.4973 0.0027
F2 0.9973 0.9973 0.5027
```

Peak list (10 most intense, 10° ≤ 2θ ≤ 90°, in order of rising 2θ)
d/Å	2theta	intensity
6.177	14.3	24
5.816	15.2	16
4.677	19.0	15
3.645	24.4	23
3.089	28.9	100
2.909	30.7	57
2.057	44.0	21
1.822	50.0	27
1.712	53.5	36
1.544	59.9	16